The following is a computed powder X-ray diffraction pattern of Sc12SiNi6. It was derived from the GGA-PBE geometry in Alexandria, using copper Kα.
Peak positions follow from Bragg's law for the DFT cell and can differ from measured ones.

Crystal structure
Cell: 7.7594 7.7594 7.7594 Å, 109.47 109.47 109.47°
Positions (direct):
Sc (0.1078, 0.2945, 0.8133)
Sc (0.1867, 0.4811, 0.2945)
Sc (0.1867, 0.8922, 0.7055)
Sc (0.2945, 0.1867, 0.4811)
Sc (0.2945, 0.8133, 0.1078)
Sc (0.4811, 0.2945, 0.1867)
Sc (0.5189, 0.7055, 0.8133)
Sc (0.7055, 0.1867, 0.8922)
Sc (0.7055, 0.8133, 0.5189)
Sc (0.8133, 0.1078, 0.2945)
Sc (0.8133, 0.5189, 0.7055)
Sc (0.8922, 0.7055, 0.1867)
Si (0.0000, 0.0000, 0.0000)
Ni (0.1332, 0.5000, 0.6332)
Ni (0.3668, 0.8668, 0.5000)
Ni (0.5000, 0.3668, 0.8668)
Ni (0.5000, 0.6332, 0.1332)
Ni (0.6332, 0.1332, 0.5000)
Ni (0.8668, 0.5000, 0.3668)

The 10 most intense peaks (2θ = 5–70°), low angle first:
| 2θ (°) | Rel. int. |
| --- | --- |
| 13.98 | 204 |
| 19.82 | 149 |
| 34.68 | 141 |
| 37.56 | 1000 |
| 40.26 | 125 |
| 42.82 | 150 |
| 52.05 | 261 |
| 60.23 | 71 |
| 62.16 | 142 |
| 64.07 | 145 |



The following is a computed powder X-ray diffraction pattern of KSrI. It was derived from the GGA-PBE geometry in Alexandria, using copper Kα.
Peak positions follow from Bragg's law for the DFT cell and can differ from measured ones.

Crystal structure
Cell: 17.1852 4.4856 4.4856 Å, 59.98 90.00 90.00°
Positions (direct):
K (0.2149, 0.0000, 0.0000)
K (0.7851, 0.0000, 0.0000)
Sr (0.0000, 0.6681, 0.6681)
Sr (0.5000, 0.9992, 0.9992)
I (0.3715, 0.6660, 0.6660)
I (0.6285, 0.6660, 0.6660)

The 10 most intense peaks (2θ = 5–70°), low angle first:
| 2θ (°) | Rel. int. |
| --- | --- |
| 5.14 | 1000 |
| 22.90 | 424 |
| 27.75 | 817 |
| 31.04 | 310 |
| 34.86 | 212 |
| 40.21 | 284 |
| 48.44 | 185 |
| 49.56 | 159 |
| 59.60 | 115 |
| 65.65 | 134 |



The following is a computed powder X-ray diffraction pattern of Rb3Tl5Pt2. It was derived from the GGA-PBE geometry in Alexandria, using copper Kα.
Peak positions follow from Bragg's law for the DFT cell and can differ from measured ones.

Crystal structure
Cell: 10.2908 10.2908 10.2908 Å, 115.66 84.20 131.92°
Positions (direct):
Rb (0.1437, 0.2461, 0.3898)
Rb (0.2500, 0.2500, 0.0000)
Rb (0.3563, 0.7461, 0.1023)
Rb (0.6437, 0.2539, 0.8977)
Rb (0.7500, 0.7500, 0.0000)
Rb (0.8563, 0.7539, 0.6102)
Tl (0.0151, 0.7500, 0.2651)
Tl (0.1032, 0.6762, 0.7794)
Tl (0.2500, 0.7500, 0.5000)
Tl (0.3968, 0.1762, 0.5729)
Tl (0.4849, 0.7500, 0.7349)
Tl (0.5151, 0.2500, 0.2651)
Tl (0.6032, 0.8238, 0.4271)
Tl (0.7500, 0.2500, 0.5000)
Tl (0.8968, 0.3238, 0.2206)
Tl (0.9849, 0.2500, 0.7349)
Pt (0.1704, 0.9063, 0.0768)
Pt (0.3296, 0.4063, 0.7359)
Pt (0.6704, 0.5937, 0.2641)
Pt (0.8296, 0.0937, 0.9232)

The 10 most intense peaks (2θ = 5–70°), low angle first:
| 2θ (°) | Rel. int. |
| --- | --- |
| 16.18 | 254 |
| 17.67 | 584 |
| 26.77 | 810 |
| 28.50 | 698 |
| 29.12 | 252 |
| 31.70 | 1000 |
| 37.34 | 331 |
| 39.28 | 263 |
| 43.16 | 338 |
| 52.53 | 258 |



The following is a computed powder X-ray diffraction pattern of AcLa4TbPm2. It was derived from the GGA-PBE geometry in Alexandria, using copper Kα.
Peak positions follow from Bragg's law for the DFT cell and can differ from measured ones.

Crystal structure
Cell: 6.4415 6.4415 10.6040 Å, 114.30 114.30 48.31°
Positions (direct):
Ac (0.0000, 0.0000, 0.0000)
La (0.2466, 0.2466, 0.8694)
La (0.2515, 0.2515, 0.3782)
La (0.7485, 0.7485, 0.6218)
La (0.7534, 0.7534, 0.1306)
Tb (0.0000, 0.0000, 0.5000)
Pm (0.4988, 0.4988, 0.2558)
Pm (0.5012, 0.5012, 0.7442)

The 10 most intense peaks (2θ = 5–70°), low angle first:
| 2θ (°) | Rel. int. |
| --- | --- |
| 29.34 | 1000 |
| 33.81 | 171 |
| 34.01 | 170 |
| 34.19 | 167 |
| 48.72 | 123 |
| 48.99 | 122 |
| 57.76 | 147 |
| 58.02 | 147 |
| 58.25 | 145 |
| 60.86 | 126 |